(1)
Structure and simulated powder X-ray diffraction pattern of Sc6Al16Ru7 (a crystal structure in Alexandria, relaxed with GGA-PBE; a wavelength of 1.5418 Å).
Kinematic intensities with the Lorentz-polarization factor, no thermal factor.

Peak list (8 most intense, 2θ = 10–80°, low angle first)
hkl	d/Å	I/Imax
2 2 2	3.571	39
4 0 0	3.093	36
4 2 2	2.525	12
3 3 3	2.381	15
4 4 0	2.187	100
6 2 2	1.865	32
8 4 0	1.383	14
8 4 4	1.263	22

Structural model:
```
data_Sc6Al16Ru7
_chemical_formula_sum 'Sc24 Al64 Ru28'
_symmetry_space_group_name_H-M 'F m -3 m'
_symmetry_Int_Tables_number 225
_symmetry_space_group_name_Hall '-F 4 2 3'
_cell_length_a 12.370
_cell_length_b 12.370
_cell_length_c 12.370
_cell_angle_alpha 90.00
_cell_angle_beta 90.00
_cell_angle_gamma 90.00
loop_
_atom_site_label
_atom_site_fract_x
_atom_site_fract_y
_atom_site_fract_z
Sc1 0.000 0.000 0.211
Al1 0.120 0.120 0.380
Al2 0.164 0.164 0.164
Ru1 0.000 0.000 0.500
Ru2 0.000 0.250 0.250
```

(2)
Structure and simulated powder X-ray diffraction pattern of Sc5AlRu6 (a crystal structure in Alexandria, relaxed with GGA-PBE; a wavelength of 1.5418 Å).
Kinematic intensities with the Lorentz-polarization factor, no thermal factor.

Peak list (8 most intense, 2θ = 10–80°, low angle first)
hkl	d/Å	I/Imax
1 0 3	3.165	23
1 2 3	2.251	100
0 0 6	2.241	25
2 0 0	2.235	25
2 0 6	1.582	16
2 4 0	1.302	16
1 2 9	1.296	15
3 2 3	1.293	16

Structural model:
```
data_Sc5AlRu6
_chemical_formula_sum 'Sc10 Al2 Ru12'
_symmetry_space_group_name_H-M 'I m m m'
_symmetry_Int_Tables_number 71
_symmetry_space_group_name_Hall '-I 2 2'
_cell_length_a 4.469
_cell_length_b 6.405
_cell_length_c 13.446
_cell_angle_alpha 90.00
_cell_angle_beta 90.00
_cell_angle_gamma 90.00
loop_
_atom_site_label
_atom_site_fract_x
_atom_site_fract_y
_atom_site_fract_z
Sc1 0.000 0.000 0.000
Sc2 0.000 0.000 0.338
Sc3 0.000 0.500 0.333
Al1 0.000 0.500 0.000
Ru1 0.000 0.243 0.500
Ru2 0.000 0.253 0.163
```

(3)
Structure and simulated powder X-ray diffraction pattern of Sc2AlRu4 (a crystal structure in Alexandria, relaxed with GGA-PBE; a wavelength of 1.5418 Å).
Kinematic intensities with the Lorentz-polarization factor, no thermal factor.

Peak list (8 most intense, 2θ = 10–80°, low angle first)
hkl	d/Å	I/Imax
0 0 2	4.006	37
2 0 0	2.711	27
2 0 2	2.245	100
0 0 4	2.003	18
2 2 0	1.917	31
2 2 2	1.729	14
2 0 4	1.611	11
2 2 4	1.385	20

Structural model:
```
data_Sc2AlRu4
_chemical_formula_sum 'Sc4 Al2 Ru8'
_symmetry_space_group_name_H-M 'I 4/m m m'
_symmetry_Int_Tables_number 139
_symmetry_space_group_name_Hall '-I 4 2'
_cell_length_a 5.422
_cell_length_b 5.422
_cell_length_c 8.013
_cell_angle_alpha 90.00
_cell_angle_beta 90.00
_cell_angle_gamma 90.00
loop_
_atom_site_label
_atom_site_fract_x
_atom_site_fract_y
_atom_site_fract_z
Sc1 0.000 0.500 0.000
Al1 0.000 0.000 0.000
Ru1 0.250 0.250 0.250
```

(4)
Structure and simulated powder X-ray diffraction pattern of Sc2AlRu5W2 (a crystal structure in Alexandria, relaxed with GGA-PBE; a wavelength of 1.5418 Å).
Kinematic intensities with the Lorentz-polarization factor, no thermal factor.

Peak list (8 most intense, 2θ = 10–80°, low angle first)
hkl	d/Å	I/Imax
1 1 0	7.301	17
2 1 0	4.617	96
3 3 0	2.434	45
3 1 1	2.260	100
3 2 1	2.113	38
4 0 1	1.992	31
4 1 1	1.956	23
5 2 0	1.917	24

Structural model:
```
data_Sc2AlRu5W2
_chemical_formula_sum 'Sc4 Al2 Ru10 W4'
_symmetry_space_group_name_H-M 'P 4/m b m'
_symmetry_Int_Tables_number 127
_symmetry_space_group_name_Hall '-P 4 2ab'
_cell_length_a 10.325
_cell_length_b 10.325
_cell_length_c 3.131
_cell_angle_alpha 90.00
_cell_angle_beta 90.00
_cell_angle_gamma 90.00
loop_
_atom_site_label
_atom_site_fract_x
_atom_site_fract_y
_atom_site_fract_z
Sc1 0.167 0.333 0.000
Al1 0.000 0.000 0.000
Ru1 0.000 0.500 0.500
Ru2 0.058 0.809 0.500
W1 0.141 0.641 0.000
```

(5)
Structure and simulated powder X-ray diffraction pattern of Zr2ScAlRu4 (a crystal structure in Alexandria, relaxed with GGA-PBE; a wavelength of 1.5418 Å).
Kinematic intensities with the Lorentz-polarization factor, no thermal factor.

Peak list (8 most intense, 2θ = 10–80°, low angle first)
hkl	d/Å	I/Imax
0 0 6	3.689	15
1 0 4	3.195	14
1 1 0	2.262	100
0 1 8	2.257	98
1 1 6	1.928	6
2 0 8	1.598	32
3 0 0	1.305	49
1 0 16	1.302	15

Structural model:
```
data_Zr2ScAlRu4
_chemical_formula_sum 'Zr6 Sc3 Al3 Ru12'
_symmetry_space_group_name_H-M 'R -3 m'
_symmetry_Int_Tables_number 166
_symmetry_space_group_name_Hall '-R 3 2"'
_cell_length_a 4.5246
_cell_length_b 4.5246
_cell_length_c 22.0845
_cell_angle_alpha 90.00
_cell_angle_beta 90.00
_cell_angle_gamma 120.00
loop_
_atom_site_label
_atom_site_fract_x
_atom_site_fract_y
_atom_site_fract_z
Zr1 0.0000 0.0000 0.2466
Sc1 0.0000 0.0000 0.0000
Al1 0.0000 0.0000 0.5000
Ru1 0.0000 0.0000 0.1258
Ru2 0.0000 0.0000 0.3771
```

(6)
Structure and simulated powder X-ray diffraction pattern of Al8Si2Ru (a crystal structure in Alexandria, relaxed with GGA-PBE; a wavelength of 1.5418 Å).
Kinematic intensities with the Lorentz-polarization factor, no thermal factor.

Peak list (8 most intense, 2θ = 10–80°, low angle first)
hkl	d/Å	I/Imax
0 1 1	6.274	42
0 1 3	3.509	28
1 1 2	3.025	25
0 1 5	2.279	13
1 2 3	2.240	100
0 0 6	1.998	16
2 0 0	1.992	18
0 4 0	1.841	14

Structural model:
```
data_Al8Si2Ru
_chemical_formula_sum 'Al16 Si4 Ru2'
_symmetry_space_group_name_H-M 'I m m m'
_symmetry_Int_Tables_number 71
_symmetry_space_group_name_Hall '-I 2 2'
_cell_length_a 3.985
_cell_length_b 7.362
_cell_length_c 11.990
_cell_angle_alpha 90.00
_cell_angle_beta 90.00
_cell_angle_gamma 90.00
loop_
_atom_site_label
_atom_site_fract_x
_atom_site_fract_y
_atom_site_fract_z
Al1 0.000 0.000 0.168
Al2 0.000 0.239 0.340
Al3 0.000 0.248 0.000
Si1 0.000 0.500 0.145
Ru1 0.000 0.500 0.500
```

(7)
Structure and simulated powder X-ray diffraction pattern of AlSi2Ru3 (a crystal structure in Alexandria, relaxed with GGA-PBE; a wavelength of 1.5418 Å).
Kinematic intensities with the Lorentz-polarization factor, no thermal factor.

Peak list (8 most intense, 2θ = 10–80°, low angle first)
hkl	d/Å	I/Imax
1 0 0	2.955	44
1 1 0	2.090	100
1 0 4	1.773	1
1 1 3	1.706	11
1 0 5	1.521	1
2 0 0	1.477	16
2 1 0	1.322	14
2 1 3	1.206	32

Structural model:
```
data_AlSi2Ru3
_chemical_formula_sum 'Al1 Si2 Ru3'
_symmetry_space_group_name_H-M 'P 4/m m m'
_symmetry_Int_Tables_number 123
_symmetry_space_group_name_Hall '-P 4 2'
_cell_length_a 2.954
_cell_length_b 2.954
_cell_length_c 8.869
_cell_angle_alpha 90.00
_cell_angle_beta 90.00
_cell_angle_gamma 90.00
loop_
_atom_site_label
_atom_site_fract_x
_atom_site_fract_y
_atom_site_fract_z
Al1 0.000 0.000 0.000
Si1 0.000 0.000 0.330
Ru1 0.500 0.500 0.177
Ru2 0.500 0.500 0.500
```